This entry pairs a crystal structure of TiVTc2 with its simulated X-ray diffraction stick pattern. Radiation: CuKα. Structure: a cell relaxed with GGA-PBE.
Neutral-atom scattering factors, no anomalous dispersion.

Main lines, sorted by position (15 to 90 degrees two-theta):
Position (°2θ)	Rel. int.
29.1	16
41.7	100
51.6	5
60.4	16
68.4	6
76.1	31

Crystal structure
a b c (Å): 6.130 6.130 6.130
angles (deg): 90.00 90.00 90.00
Space group Fm-3m (No. 225)
One atom of each set of equivalent atoms:
Ti 0.000 0.000 0.000 x4
V 0.000 0.000 0.500 x4
Tc 0.250 0.250 0.250 x8